# Cs6Rb10Ag
Calculated powder XRD pattern, Cu Kα (λ = 1.5418 Å). Input: a cell relaxed with GGA-PBE.
Neutral-atom scattering factors, no anomalous dispersion.

Crystal structure
Lattice parameters (Å, degrees): 14.1571 14.1571 9.2667 90.00 90.00 120.00
Space group P-31m (No. 162)
Inequivalent atoms, fractional coordinates:
Cs 0.0000 0.3989 0.2468
Rb 0.0000 0.2106 0.7386
Rb 0.3333 0.6667 0.0000
Rb 0.3333 0.6667 0.5000
Ag 0.0000 0.0000 0.5000

Most intense lines, 2θ from 10° to 90°, sorted by position:
| hkl | d_spacing | Position (°2θ) | I_rel |
| --- | --- | --- | --- |
| 1 1 1 | 5.625 | 15.75 | 20.3 |
| 0 0 2 | 4.634 | 19.15 | 28.5 |
| 3 -1 1 | 4.145 | 21.44 | 100.0 |
| 3 0 0 | 4.087 | 21.75 | 31.7 |
| 2 -1 2 | 3.877 | 22.94 | 61.4 |
| 4 -2 1 | 3.306 | 26.97 | 24.0 |
| 4 -2 2 | 2.813 | 31.82 | 20.9 |
| 2 1 3 | 2.570 | 34.91 | 29.8 |
| 0 0 4 | 2.317 | 38.87 | 18.8 |
| 5 0 2 | 2.167 | 41.67 | 30.1 |

# Cs3Rb2Ag2
Calculated powder XRD pattern, Cu Kα (λ = 1.5418 Å). Input: a cell relaxed with GGA-PBE.
Neutral-atom scattering factors, no anomalous dispersion.

Crystal structure
Lattice parameters (Å, degrees): 5.204 6.985 15.029 77.19 88.92 84.94
Space group P-1 (No. 2)
Inequivalent atoms, fractional coordinates:
Cs 0.000 0.000 0.000
Cs 0.270 0.385 0.222
Rb 0.245 0.210 0.585
Ag 0.253 0.496 0.968

Most intense lines, 2θ from 10° to 90°, sorted by position:
| hkl | d_spacing | Position (°2θ) | I_rel |
| --- | --- | --- | --- |
| 0 1 0 | 6.770 | 13.08 | 92.8 |
| 1 0 -1 | 4.887 | 18.15 | 34.0 |
| 0 1 3 | 4.459 | 19.91 | 39.0 |
| 1 1 1 | 4.294 | 20.68 | 61.5 |
| 1 -1 0 | 3.958 | 22.46 | 63.3 |
| 1 0 3 | 3.554 | 25.05 | 100.0 |
| 0 2 1 | 3.479 | 25.61 | 99.4 |
| 0 0 5 | 2.931 | 30.50 | 40.0 |
| 1 2 4 | 2.554 | 35.14 | 38.3 |
| 1 -2 2 | 2.424 | 37.09 | 37.8 |

# CsRb2AgS2
Calculated powder XRD pattern, Cu Kα (λ = 1.5418 Å). Input: a cell relaxed with GGA-PBE.
Neutral-atom scattering factors, no anomalous dispersion.

Crystal structure
Lattice parameters (Å, degrees): 8.287 8.976 5.908 90.00 90.00 90.00
Space group Pnnm (No. 58)
Inequivalent atoms, fractional coordinates:
Cs 0.000 0.000 0.000
Rb 0.117 0.253 0.500
Ag 0.000 0.500 0.000
S 0.246 0.882 0.500

Most intense lines, 2θ from 10° to 90°, sorted by position:
| hkl | d_spacing | Position (°2θ) | I_rel |
| --- | --- | --- | --- |
| 2 0 0 | 4.143 | 21.45 | 11.7 |
| 2 1 0 | 3.762 | 23.65 | 14.9 |
| 1 2 1 | 3.282 | 27.17 | 100.0 |
| 2 2 0 | 3.044 | 29.34 | 14.2 |
| 0 0 2 | 2.954 | 30.26 | 32.1 |
| 3 0 1 | 2.502 | 35.89 | 21.0 |
| 2 0 2 | 2.409 | 37.34 | 16.3 |
| 4 2 0 | 1.881 | 48.39 | 12.5 |
| 1 2 3 | 1.762 | 51.89 | 16.0 |
| 4 2 2 | 1.587 | 58.14 | 14.4 |

# Cs2ReAgS4
Calculated powder XRD pattern, Cu Kα (λ = 1.5418 Å). Input: a cell relaxed with GGA-PBE.
Neutral-atom scattering factors, no anomalous dispersion.

Crystal structure
Lattice parameters (Å, degrees): 7.658 7.658 8.670 90.00 90.00 90.00
Space group I-4 (No. 82)
Inequivalent atoms, fractional coordinates:
Cs 0.000 0.000 0.000
Cs 0.000 0.500 0.250
Re 0.000 0.500 0.750
Ag 0.000 0.000 0.500
S 0.123 0.713 0.613

Most intense lines, 2θ from 10° to 90°, sorted by position:
| hkl | d_spacing | Position (°2θ) | I_rel |
| --- | --- | --- | --- |
| 1 0 1 | 5.740 | 15.44 | 10.5 |
| 2 0 0 | 3.829 | 23.23 | 53.1 |
| 1 1 2 | 3.384 | 26.34 | 100.0 |
| 2 2 0 | 2.708 | 33.08 | 27.1 |
| 3 1 2 | 2.114 | 42.77 | 54.3 |
| 2 0 4 | 1.886 | 48.25 | 22.3 |
| 2 4 0 | 1.712 | 53.51 | 17.2 |
| 2 2 4 | 1.692 | 54.21 | 13.4 |
| 3 3 2 | 1.666 | 55.11 | 12.3 |
| 1 5 2 | 1.419 | 65.81 | 14.6 |

# Cs2ReAgSe4
Calculated powder XRD pattern, Cu Kα (λ = 1.5418 Å). Input: a cell relaxed with GGA-PBE.
Neutral-atom scattering factors, no anomalous dispersion.

Crystal structure
Lattice parameters (Å, degrees): 6.193 14.745 25.409 90.00 90.00 90.00
Space group Fddd (No. 70, origin choice 2)
Inequivalent atoms, fractional coordinates:
Cs 0.125 0.125 0.304
Re 0.125 0.125 0.625
Ag 0.125 0.125 0.125
Se 0.087 0.279 0.820

Most intense lines, 2θ from 10° to 90°, sorted by position:
| hkl | d_spacing | Position (°2θ) | I_rel |
| --- | --- | --- | --- |
| 0 0 4 | 6.365 | 13.91 | 100.0 |
| 1 1 3 | 4.735 | 18.74 | 21.9 |
| 0 2 6 | 3.675 | 24.22 | 80.8 |
| 1 3 3 | 3.505 | 25.41 | 87.7 |
| 1 3 5 | 3.068 | 29.10 | 36.5 |
| 2 2 0 | 2.855 | 31.33 | 31.7 |
| 2 0 6 | 2.500 | 35.93 | 47.4 |
| 0 6 6 | 2.125 | 42.54 | 32.6 |
| 2 4 6 | 2.069 | 43.76 | 21.9 |
| 2 6 0 | 1.925 | 47.22 | 31.9 |

# CsAgRhS2
Calculated powder XRD pattern, Cu Kα (λ = 1.5418 Å). Input: a cell relaxed with GGA-PBE.
Neutral-atom scattering factors, no anomalous dispersion.

Crystal structure
Lattice parameters (Å, degrees): 5.907 14.310 6.042 90.00 90.00 90.00
Space group Cmme (No. 67)
Inequivalent atoms, fractional coordinates:
Cs 0.000 0.250 0.234
Ag 0.000 0.000 0.000
Rh 0.250 0.000 0.500
S 0.000 0.103 0.685

Most intense lines, 2θ from 10° to 90°, sorted by position:
| hkl | d_spacing | Position (°2θ) | I_rel |
| --- | --- | --- | --- |
| 0 2 0 | 7.155 | 12.37 | 53.5 |
| 1 1 1 | 4.051 | 21.94 | 38.6 |
| 0 4 0 | 3.578 | 24.89 | 73.5 |
| 1 3 1 | 3.162 | 28.22 | 89.6 |
| 0 2 2 | 2.783 | 32.16 | 100.0 |
| 2 0 1 | 2.654 | 33.78 | 33.3 |
| 2 2 1 | 2.488 | 36.10 | 51.7 |
| 2 4 1 | 2.131 | 42.41 | 53.1 |
| 0 6 2 | 1.872 | 48.64 | 39.3 |
| 2 2 3 | 1.621 | 56.80 | 25.5 |